# 1
The following is a theoretical X-ray powder pattern of Li3TiN2. It was derived from a DFT-relaxed cell (GGA-PBE, the Materials Project), using Cu Kα X-rays.
Lines closer than 0.1° are merged.

Cell and atoms:
Lattice parameters (Å, degrees): 6.9877 6.9877 14.2204 90.00 90.00 90.00
Space group I4_1/amd (No. 141, origin choice 2)
Inequivalent atoms, fractional coordinates:
Li1 0.0000 0.2500 0.2578 (multiplicity 8)
Li2 0.2261 0.0239 0.3750 (multiplicity 16)
Ti1 0.0000 0.2500 0.7615 (multiplicity 8)
N1 0.0000 0.0260 0.7003 (multiplicity 16)

Peak list (8 most intense, 2θ = 10–90°, in order of rising 2θ)
two_theta, Rel. int., hkl
14.12, 100, 1 0 1
22.67, 81, 1 0 3
25.05, 42, 0 0 4
25.49, 62, 2 0 0
29.26, 81, 2 1 1
36.04, 91, 2 0 4
43.00, 43, 2 1 5
52.37, 26, 4 0 0



# 2
The following is a theoretical X-ray powder pattern of LiTi2N3. It was derived from a DFT-relaxed cell (GGA-PBE, the Materials Project), using Cu Kα X-rays.
Lines closer than 0.1° are merged.

Cell and atoms:
Lattice parameters (Å, degrees): 10.3983 6.2937 4.1567 90.00 90.00 90.00
Space group Cmcm (No. 63)
Inequivalent atoms, fractional coordinates:
Li1 0.0000 0.1483 0.2500 (multiplicity 4)
Ti1 0.1621 0.3303 0.7500 (multiplicity 8)
N1 0.0000 0.1993 0.7500 (multiplicity 4)
N2 0.1822 0.3523 0.2500 (multiplicity 8)

Peak list (8 most intense, 2θ = 10–90°, in order of rising 2θ)
two_theta, Rel. int., hkl
16.46, 51, 1 1 0
17.05, 74, 2 0 0
27.10, 99, 1 1 1
28.36, 59, 0 2 0
29.42, 100, 3 1 0
36.65, 63, 3 1 1
43.55, 62, 0 0 2
50.88, 67, 3 3 0



# 3
The following is a theoretical X-ray powder pattern of Li2TiN2. It was derived from a DFT-relaxed cell (GGA-PBE, the Materials Project), using Cu Kα X-rays.
Lines closer than 0.1° are merged.

Cell and atoms:
Lattice parameters (Å, degrees): 3.0883 3.0883 5.4418 90.00 90.00 120.00
Space group P-3m1 (No. 164)
Inequivalent atoms, fractional coordinates:
Li1 0.3333 0.6667 0.1314 (multiplicity 2)
Ti1 0.0000 0.0000 0.5000 (multiplicity 1)
N1 0.3333 0.6667 0.7110 (multiplicity 2)

Peak list (8 most intense, 2θ = 10–90°, in order of rising 2θ)
two_theta, Rel. int., hkl
16.29, 100, 0 0 1
33.51, 17, 1 0 0
37.47, 75, 0 1 1
47.68, 53, 0 1 2
59.90, 22, 1 1 0
61.80, 17, 1 0 3
62.53, 12, 1 1 1
79.93, 9, 2 0 2



# 4
The following is a theoretical X-ray powder pattern of Li3TiN2. It was derived from a DFT-relaxed cell (GGA-PBE, the Materials Project), using Cu Kα X-rays.
Lines closer than 0.1° are merged.

Cell and atoms:
Lattice parameters (Å, degrees): 9.7525 9.7525 9.7525 90.00 90.00 90.00
Space group Ia-3 (No. 206)
Inequivalent atoms, fractional coordinates:
Li1 0.0941 0.1404 0.8657 (multiplicity 48)
Ti1 0.1326 0.1326 0.1326 (multiplicity 16)
N1 0.0000 0.2500 0.0238 (multiplicity 24)
N2 0.2500 0.2500 0.2500 (multiplicity 8)

Peak list (8 most intense, 2θ = 10–90°, in order of rising 2θ)
two_theta, Rel. int., hkl
22.33, 100, 2 1 1
31.78, 19, 2 2 2
34.41, 56, 3 1 2
36.87, 15, 4 0 0
43.53, 21, 3 3 2
53.12, 52, 4 4 0
58.33, 15, 5 2 3
71.03, 13, 7 1 2



# 5
The following is a theoretical X-ray powder pattern of LiVN. It was derived from a DFT-relaxed cell (GGA-PBE, the Materials Project), using Cu Kα X-rays.
Lines closer than 0.1° are merged.

Cell and atoms:
Lattice parameters (Å, degrees): 6.9074 3.2653 4.9151 90.00 90.00 90.00
Space group Pnma (No. 62)
Inequivalent atoms, fractional coordinates:
Li1 0.0840 0.2500 0.0627 (multiplicity 4)
V1 0.1374 0.2500 0.5498 (multiplicity 4)
N1 0.1237 0.7500 0.2831 (multiplicity 4)

Peak list (8 most intense, 2θ = 10–90°, in order of rising 2θ)
two_theta, Rel. int., hkl
22.20, 100, 1 0 1
32.93, 30, 0 1 1
35.47, 68, 1 1 1
37.92, 46, 2 1 0
43.40, 32, 3 0 1
53.03, 18, 4 0 0
53.70, 53, 2 1 2
56.35, 17, 0 2 0